The following is a simulated powder XRD pattern of AcZnSn2Ru2. It was derived from a cell relaxed with PBE, using Cu Kα, 1.54184 Å.
Kinematic intensities with the Lorentz-polarization factor, no thermal factor.

Most intense lines, 5 to 70 degrees two-theta, low angle first:
2θ/deg, I/Imax
26.76, 374
30.61, 651
35.17, 1000
38.20, 767
52.90, 764
55.13, 266

Structural model:
Lattice parameters (Å, degrees): 4.712 4.712 6.072 90.00 90.00 90.00
Space group P4/mmm (No. 123)
Unique sites:
Ac  0.000  0.000  0.000 [1 per cell]
Zn  0.000  0.000  0.500 [1 per cell]
Sn  0.500  0.500  0.247 [2 per cell]
Ru  0.000  0.500  0.500 [2 per cell]